The following is a calculated powder diffraction line list of BaFe4Sn2O11. It was derived from a structure optimized by DFT (GGA+U), using Cu Ka.

Atomic structure:
```
data_BaFe4Sn2O11
_chemical_formula_sum 'Ba4 Fe16 Sn8 O44'
_symmetry_space_group_name_H-M 'C m c m'
_symmetry_Int_Tables_number 63
_symmetry_space_group_name_Hall '-C 2c 2'
_cell_length_a 6.076
_cell_length_b 10.518
_cell_length_c 13.683
_cell_angle_alpha 90.00
_cell_angle_beta 90.00
_cell_angle_gamma 90.00
loop_
_atom_site_label
_atom_site_fract_x
_atom_site_fract_y
_atom_site_fract_z
Ba1 0.000 0.163 0.250
Fe1 0.000 0.000 0.000
Fe2 0.000 0.170 0.750
Fe3 0.250 0.250 0.000
Sn1 0.000 0.498 0.139
O1 0.000 0.167 0.585
O2 0.000 0.321 0.079
O3 0.000 0.354 0.750
O4 0.224 0.421 0.250
O5 0.235 0.088 0.080
```

The 10 most intense peaks (10 to 90 degrees two-theta), most intense first:
- (1 1 4), 2θ 31.2, I = 100
- (2 0 0), 2θ 29.4, I = 57
- (2 0 2), 2θ 32.2, I = 54
- (2 4 4), 2θ 53.3, I = 51
- (0 4 6), 2θ 53.2, I = 37
- (4 0 0), 2θ 61.0, I = 30
- (0 4 2), 2θ 36.6, I = 24
- (1 7 4), 2θ 70.1, I = 20
- (2 2 3), 2θ 39.5, I = 18
- (2 2 0), 2θ 34.1, I = 17


The following is a calculated powder diffraction line list of Li4Nb3V3Sb2O16. It was derived from a structure optimized by DFT (GGA+U), using Cu Ka.

Atomic structure:
```
data_Li4Nb3V3Sb2O16
_chemical_formula_sum 'Li8 Nb6 V6 Sb4 O32'
_symmetry_space_group_name_H-M 'C 1 m 1'
_symmetry_Int_Tables_number 8
_cell_length_a 10.626
_cell_length_b 6.115
_cell_length_c 10.629
_cell_angle_alpha 90.00
_cell_angle_beta 90.48
_cell_angle_gamma 90.00
loop_
_symmetry_equiv_pos_as_xyz
'x,y,z'
'x,-y,z'
'x+1/2,y+1/2,z'
'x+1/2,-y+1/2,z'
loop_
_atom_site_label
_atom_site_fract_x
_atom_site_fract_y
_atom_site_fract_z
Li1 0.000 0.000 0.000
Li2 0.001 0.000 0.498
Li3 0.165 0.500 0.600
Li4 0.337 0.000 0.090
Nb1 0.097 0.263 0.271
Nb2 0.179 0.000 0.766
V1 0.334 0.500 0.281
V2 0.421 0.243 0.777
Sb1 0.174 0.500 0.976
Sb2 0.345 0.000 0.482
O1 0.006 0.000 0.181
O2 0.009 0.000 0.680
O3 0.013 0.500 0.159
O4 0.081 0.234 0.888
O5 0.159 0.000 0.390
O6 0.166 0.500 0.396
O7 0.244 0.250 0.170
O8 0.254 0.235 0.672
O9 0.328 0.000 0.885
O10 0.347 0.500 0.880
O11 0.431 0.256 0.389
O12 0.490 0.000 0.677
```

The 10 most intense peaks (10 to 90 degrees two-theta), most intense first:
- (2 0 1), 2θ 18.7, I = 100
- (0 0 2), 2θ 16.7, I = 86
- (3 1 2), 2θ 33.8, I = 84
- (2 2 -1), 2θ 34.9, I = 75
- (0 0 4), 2θ 33.7, I = 65
- (2 0 -3), 2θ 30.3, I = 60
- (2 0 3), 2θ 30.4, I = 49
- (1 1 -1), 2θ 18.7, I = 49
- (2 2 5), 2θ 55.6, I = 38
- (6 2 0), 2θ 60.4, I = 36


The following is a calculated powder diffraction line list of Li4Ti3Cu3W2O16. It was derived from a structure optimized by DFT (GGA+U), using Cu Ka.

Atomic structure:
```
data_Li4Ti3Cu3W2O16
_chemical_formula_sum 'Li8 Ti6 Cu6 W4 O32'
_symmetry_space_group_name_H-M 'C 1 m 1'
_symmetry_Int_Tables_number 8
_cell_length_a 10.443
_cell_length_b 5.967
_cell_length_c 10.037
_cell_angle_alpha 90.00
_cell_angle_beta 92.51
_cell_angle_gamma 90.00
loop_
_symmetry_equiv_pos_as_xyz
'x,y,z'
'x,-y,z'
'x+1/2,y+1/2,z'
'x+1/2,-y+1/2,z'
loop_
_atom_site_label
_atom_site_fract_x
_atom_site_fract_y
_atom_site_fract_z
Li1 0.000 0.000 0.000
Li2 0.008 0.000 0.515
Li3 0.169 0.500 0.075
Li4 0.336 0.000 0.580
Ti1 0.323 0.500 0.756
Ti2 0.404 0.253 0.271
Cu1 0.083 0.256 0.790
Cu2 0.171 0.000 0.285
W1 0.152 0.500 0.506
W2 0.335 0.000 0.000
O1 0.021 0.500 0.624
O2 0.080 0.260 0.402
O3 0.171 0.000 0.926
O4 0.180 0.500 0.873
O5 0.257 0.288 0.625
O6 0.272 0.234 0.141
O7 0.332 0.500 0.380
O8 0.348 0.000 0.379
O9 0.402 0.242 0.905
O10 0.480 0.000 0.153
O11 0.497 0.500 0.191
O12 0.497 0.500 0.706
```

The 10 most intense peaks (10 to 90 degrees two-theta), most intense first:
- (2 0 1), 2θ 19.5, I = 100
- (1 1 -1), 2θ 19.1, I = 58
- (2 0 -1), 2θ 18.8, I = 31
- (3 1 -2), 2θ 34.2, I = 29
- (1 1 -2), 2θ 24.4, I = 29
- (0 2 2), 2θ 35.0, I = 27
- (3 1 2), 2θ 35.4, I = 26
- (2 2 1), 2θ 36.0, I = 23
- (1 1 3), 2θ 32.2, I = 23
- (1 1 -3), 2θ 31.5, I = 20


The following is a calculated powder diffraction line list of MgMn4O8. It was derived from a structure optimized by DFT (GGA+U), using Cu Ka.

Atomic structure:
```
data_MgMn4O8
_chemical_formula_sum 'Mg2 Mn8 O16'
_symmetry_space_group_name_H-M 'C 1 2/m 1'
_symmetry_Int_Tables_number 12
_cell_length_a 9.947
_cell_length_b 5.732
_cell_length_c 6.375
_cell_angle_alpha 90.00
_cell_angle_beta 128.57
_cell_angle_gamma 90.00
loop_
_symmetry_equiv_pos_as_xyz
'x,y,z'
'-x,-y,-z'
'-x,y,-z'
'x,-y,z'
'x+1/2,y+1/2,z'
'-x+1/2,-y+1/2,-z'
'-x+1/2,y+1/2,-z'
'x+1/2,-y+1/2,z'
loop_
_atom_site_label
_atom_site_fract_x
_atom_site_fract_y
_atom_site_fract_z
Mg1 0.000 0.000 0.000
Mn1 0.185 0.500 0.934
Mn2 0.250 0.250 0.500
O1 0.083 0.500 0.357
O2 0.092 0.000 0.377
O3 0.204 0.234 0.146
```

The 10 most intense peaks (10 to 90 degrees two-theta), most intense first:
- (2 0 0), 2θ 22.9, I = 100
- (2 0 -2), 2θ 28.0, I = 73
- (4 2 -1), 2θ 49.8, I = 42
- (2 2 -1), 2θ 36.4, I = 41
- (0 2 1), 2θ 36.2, I = 40
- (4 2 -3), 2θ 55.3, I = 36
- (0 0 2), 2θ 36.0, I = 29
- (2 2 0), 2θ 39.0, I = 27
- (3 1 -1), 2θ 31.4, I = 25
- (3 1 0), 2θ 38.1, I = 20


The following is a calculated powder diffraction line list of MgMn4Si8O22. It was derived from a structure optimized by DFT (GGA+U), using Cu Ka.

Atomic structure:
```
data_MgMn4Si8O22
_chemical_formula_sum 'Mg1 Mn4 Si8 O22'
_symmetry_space_group_name_H-M 'P 1'
_symmetry_Int_Tables_number 1
_cell_length_a 7.155
_cell_length_b 7.710
_cell_length_c 8.759
_cell_angle_alpha 97.27
_cell_angle_beta 102.25
_cell_angle_gamma 108.68
loop_
_symmetry_equiv_pos_as_xyz
'x,y,z'
loop_
_atom_site_label
_atom_site_fract_x
_atom_site_fract_y
_atom_site_fract_z
Mg1 0.000 0.000 0.000
Mn1 0.037 0.378 0.522
Mn2 0.295 0.100 0.766
Mn3 0.502 0.381 0.540
Mn4 0.782 0.133 0.743
Si1 0.105 0.972 0.378
Si2 0.197 0.541 0.903
Si3 0.371 0.780 0.534
Si4 0.398 0.148 0.186
Si5 0.628 0.527 0.930
Si6 0.677 0.983 0.359
Si7 0.916 0.721 0.747
Si8 0.924 0.374 0.116
O1 0.080 0.357 0.754
O2 0.113 0.520 0.061
O3 0.143 0.713 0.830
O4 0.151 0.798 0.445
O5 0.177 0.997 0.213
O6 0.229 0.168 0.515
O7 0.300 0.156 0.005
O8 0.318 0.565 0.565
O9 0.444 0.595 0.960
O10 0.475 0.336 0.321
O11 0.477 0.949 0.692
O12 0.523 0.812 0.415
O13 0.551 0.359 0.769
O14 0.554 0.031 0.201
O15 0.735 0.459 0.082
O16 0.777 0.169 0.507
O17 0.786 0.556 0.593
O18 0.802 0.714 0.899
O19 0.855 0.173 0.992
O20 0.859 0.917 0.317
O21 0.966 0.943 0.742
O22 0.984 0.354 0.298
```

The 10 most intense peaks (10 to 90 degrees two-theta), most intense first:
- (2 -2 0), 2θ 29.7, I = 100
- (0 0 1), 2θ 10.6, I = 87
- (0 1 2), 2θ 26.9, I = 73
- (2 1 -1), 2θ 32.5, I = 60
- (0 1 0), 2θ 12.4, I = 59
- (1 1 -2), 2θ 25.4, I = 54
- (0 2 1), 2θ 29.2, I = 47
- (1 0 -3), 2θ 31.3, I = 30
- (0 1 -3), 2θ 31.9, I = 27
- (-4 1 1), 2θ 51.3, I = 25